1.
Pa7Zn: calculated PXRD pattern (Cu Kα), based on a cell relaxed with PBE.
Peak positions follow from Bragg's law for the DFT cell and can differ from measured ones.

Crystal structure
Cell: 9.1544 9.1544 9.1544 Å, 90.00 90.00 90.00°
Space group Fm-3m (No. 225)
One atom of each set of equivalent atoms:
Pa 0.0000 0.0000 0.0000 [4 per cell]
Pa 0.0000 0.2500 0.2500 [24 per cell]
Zn 0.0000 0.0000 0.5000 [4 per cell]

Top 12 peaks for 5° ≤ 2θ ≤ 70°, by angle:
(1 1 1), d 5.285, I 5
(2 0 0), d 4.577, I 3
(2 2 0), d 3.237, I 2
(3 1 1), d 2.760, I 3
(2 2 2), d 2.643, I 100
(4 0 0), d 2.289, I 50
(3 3 1), d 2.100, I 1
(4 2 0), d 2.047, I 1
(5 1 1), d 1.762, I 1
(4 4 0), d 1.618, I 35
(5 3 1), d 1.547, I 1
(6 2 2), d 1.380, I 42

***

2.
Sm5Se4S: calculated PXRD pattern (Cu Kα), based on a cell relaxed with PBE.
Peak positions follow from Bragg's law for the DFT cell and can differ from measured ones.

Crystal structure
Cell: 4.1320 4.1320 29.4619 Å, 90.00 90.00 90.00°
Space group I4/mmm (No. 139)
One atom of each set of equivalent atoms:
Sm 0.0000 0.0000 0.0000 [2 per cell]
Sm 0.0000 0.0000 0.2039 [4 per cell]
Sm 0.0000 0.0000 0.4060 [4 per cell]
Se 0.0000 0.0000 0.1011 [4 per cell]
Se 0.0000 0.0000 0.3040 [4 per cell]
S 0.0000 0.0000 0.5000 [2 per cell]

Top 12 peaks for 5° ≤ 2θ ≤ 70°, by angle:
(1 0 5), d 3.383, I 36
(0 0 10), d 2.946, I 49
(1 1 0), d 2.922, I 100
(1 0 9), d 2.566, I 6
(1 1 10), d 2.075, I 70
(2 0 0), d 2.066, I 37
(1 0 15), d 1.774, I 5
(2 1 5), d 1.763, I 12
(2 0 10), d 1.692, I 37
(0 0 20), d 1.473, I 5
(2 2 0), d 1.461, I 12
(2 1 15), d 1.346, I 4